Diffraction record for Cs2Mn3CoF12. The PXRD pattern is theoretical, not measured: it uses a cell relaxed with PBE+U and Cu Ka.
Kinematic intensities with the Lorentz-polarization factor, no thermal factor.

Largest 10 diffraction maxima, in order of rising 2θ, 5 to 70 degrees two-theta:
two_theta  I_rel
23.35  30
23.63  37
27.41  48
27.65  100
27.76  41
28.98  21
44.10  33
47.76  38
48.34  33
54.35  14

Atomic structure:
a b c (Å): 7.619 7.619 7.619
angles (deg): 59.24 59.24 59.24
Fractional positions:
Cs  0.127  0.127  0.127
Cs  0.873  0.873  0.873
Mn  0.000  0.500  0.500
Mn  0.500  0.000  0.500
Mn  0.500  0.500  0.000
Co  0.500  0.500  0.500
F  0.180  0.180  0.565
F  0.180  0.565  0.180
F  0.194  0.569  0.569
F  0.431  0.431  0.806
F  0.431  0.806  0.431
F  0.435  0.820  0.820
F  0.565  0.180  0.180
F  0.569  0.194  0.569
F  0.569  0.569  0.194
F  0.806  0.431  0.431
F  0.820  0.435  0.820
F  0.820  0.820  0.435